This entry pairs a crystal structure of KBi3F10 with its theoretical X-ray powder pattern. Radiation: Cu Kα X-rays. Structure: a GGA-PBE-relaxed structure.

Largest 12 diffraction maxima, by angle, 10° ≤ 2θ ≤ 90°:
Position (°2θ)	I/Imax
14.64	21
20.76	22
25.49	100
29.52	44
42.24	49
44.93	10
49.98	57
52.37	14
67.45	21
69.45	15
77.22	18
82.89	14

Crystal structure
```
KBi3F10
1.0
0.0000 6.0521 6.0521
6.0521 0.0000 6.0521
6.0521 6.0521 0.0000
K Bi F
2 6 20
Cartesian
3.0261 3.0261 3.0261
9.0782 9.0782 9.0782
6.0521 6.0521 2.9131
6.0521 2.9131 6.0521
9.1911 6.0521 6.0521
2.9131 6.0521 6.0521
6.0521 9.1911 6.0521
6.0521 6.0521 9.1911
1.3910 1.3910 1.3910
4.6611 4.6611 1.3910
4.6611 1.3910 4.6611
6.0521 4.0513 4.0513
8.0530 6.0521 4.0513
8.0530 4.0513 6.0521
10.7132 7.4432 7.4432
4.0513 6.0521 4.0513
6.0521 8.0530 4.0513
4.0513 4.0513 6.0521
8.0530 8.0530 6.0521
6.0521 4.0513 8.0530
8.0530 6.0521 8.0530
1.3910 4.6611 4.6611
4.0513 8.0530 6.0521
4.0513 6.0521 8.0530
6.0521 8.0530 8.0530
7.4432 10.7132 7.4432
7.4432 7.4432 10.7132
10.7132 10.7132 10.7132
```

***

This entry pairs a crystal structure of Ca4Al with its theoretical X-ray powder pattern. Radiation: Cu Kα X-rays. Structure: a GGA-PBE-relaxed structure.

Largest 12 diffraction maxima, by angle, 10° ≤ 2θ ≤ 90°:
Position (°2θ)	I/Imax
20.87	11
25.63	100
29.68	33
32.41	19
38.87	21
42.47	41
50.27	30
54.42	8
63.22	9
67.86	8
77.71	7
82.96	10

Crystal structure
```
Ca4Al
1.0
0.0000 6.0198 6.0198
6.0198 0.0000 6.0198
6.0198 6.0198 0.0000
Ca Al
8 2
Cartesian
9.2109 5.8387 5.8387
2.8288 2.8288 2.8288
6.2010 6.2010 2.8288
6.2010 2.8288 6.2010
5.8387 9.2109 5.8387
5.8387 5.8387 9.2109
9.2109 9.2109 9.2109
2.8288 6.2010 6.2010
4.5149 4.5149 4.5149
7.5248 7.5248 7.5248
```

***

This entry pairs a crystal structure of Mn2Al3 with its theoretical X-ray powder pattern. Radiation: Cu Kα X-rays. Structure: a GGA-PBE-relaxed structure.

Largest 12 diffraction maxima, by angle, 10° ≤ 2θ ≤ 90°:
Position (°2θ)	I/Imax
19.63	39
24.10	15
34.35	5
42.40	100
44.82	61
47.13	22
51.53	8
53.62	21
59.61	10
75.86	27
77.57	9
80.96	25

Crystal structure
```
Mn2Al3
1.0
6.3951 0.0000 0.0000
0.0000 6.3951 0.0000
0.0000 0.0000 6.3951
Mn Al
8 12
Cartesian
0.4534 0.4534 0.4534
1.1454 5.2497 2.0521
2.0521 1.1454 5.2497
2.7442 5.9417 3.6509
3.6509 2.7442 5.9417
4.3429 4.3429 4.3429
5.2497 2.0521 1.1454
5.9417 3.6509 2.7442
0.2968 5.5957 4.4995
0.7994 1.3020 2.9008
1.3020 2.9008 0.7994
1.8955 3.4943 3.9969
2.3982 5.0931 6.0983
2.9008 0.7994 1.3020
3.4943 3.9969 1.8955
3.9969 1.8955 3.4943
4.4995 0.2968 5.5957
5.0931 6.0983 2.3982
5.5957 4.4995 0.2968
6.0983 2.3982 5.0931
```

***

This entry pairs a crystal structure of Li5CuP2O8 with its theoretical X-ray powder pattern. Radiation: Cu Kα X-rays. Structure: a GGA-PBE-relaxed structure.

Largest 12 diffraction maxima, by angle, 10° ≤ 2θ ≤ 90°:
Position (°2θ)	I/Imax
14.31	65
18.66	36
22.06	100
22.86	38
23.02	58
23.42	29
28.05	32
33.23	58
33.39	36
33.61	52
36.13	79
38.36	35

Crystal structure
```
Li5CuP2O8
1.0
5.3678 0.0000 0.0000
0.0801 6.1913 0.0000
0.1611 0.0674 9.9445
Li Cu P O
10 2 4 16
Cartesian
0.0000 0.0000 0.0000
0.2041 3.2187 9.8783
0.9806 4.6442 2.4104
1.1282 4.7427 7.4046
2.6511 1.5933 4.8632
2.7807 1.6174 9.8663
3.5871 6.1975 2.4173
3.5616 3.0540 2.3845
3.7026 3.1662 7.3747
5.4554 3.1173 4.8859
3.8623 0.0521 7.2488
5.4186 6.2096 4.9867
0.8475 1.5667 2.3517
1.0028 1.6765 7.4076
2.7722 4.6185 4.8102
2.9140 4.7144 9.8581
0.1175 2.8353 2.8979
0.0891 0.2743 2.8148
0.2493 2.9486 7.8978
0.3268 0.3878 7.9978
0.8262 1.5900 0.7969
0.9551 1.6311 5.8464
1.3225 4.5806 5.3778
1.2763 4.6515 0.4196
2.3215 1.5487 2.8634
2.4808 1.7074 7.8891
2.7711 4.6065 3.2603
2.9125 4.7102 8.2951
3.4217 5.9750 5.2647
3.5034 5.9138 0.4357
3.5612 3.3971 5.3590
3.4858 3.3616 0.4194
```

***

This entry pairs a crystal structure of Bi3B6O14 with its theoretical X-ray powder pattern. Radiation: Cu Kα X-rays. Structure: a GGA-PBE-relaxed structure.

Largest 12 diffraction maxima, by angle, 10° ≤ 2θ ≤ 90°:
Position (°2θ)	I/Imax
15.25	30
20.11	72
20.35	90
20.55	100
26.56	56
26.70	53
29.60	44
30.74	97
30.87	40
31.05	36
31.31	43
43.67	32

Crystal structure
```
Bi3B6O14
1.0
6.6375 0.0000 0.0000
0.0705 6.6784 0.0000
0.1558 3.3301 5.8222
Bi B O
3 6 14
Cartesian
0.0000 0.0000 0.0000
1.9080 5.9087 3.4292
3.9586 3.1383 0.6650
0.9421 3.4718 0.9777
2.2706 2.8194 3.2158
3.2070 3.3410 5.6661
4.5179 8.5005 3.9948
5.7422 6.3297 3.5437
6.6703 1.7649 2.7235
0.0829 4.5723 0.6452
1.4320 8.3717 3.3077
1.8962 3.7747 2.1385
2.0270 6.3801 5.7082
2.1875 6.4908 0.9501
2.2669 3.6675 4.4607
3.6002 2.3048 2.9323
4.0212 8.7904 5.3233
4.0423 1.0366 0.1000
4.5685 6.8796 4.0407
5.7917 2.3092 3.7637
6.3501 7.0015 2.4603
6.4596 5.3117 4.0614
6.6498 2.3747 1.3921
```

***

This entry pairs a crystal structure of KSnS2 with its theoretical X-ray powder pattern. Radiation: Cu Kα X-rays. Structure: a GGA-PBE-relaxed structure.

Largest 12 diffraction maxima, by angle, 10° ≤ 2θ ≤ 90°:
Position (°2θ)	I/Imax
11.84	57
23.82	13
25.85	15
26.77	24
30.18	100
38.15	16
41.33	36
45.01	33
46.71	13
55.15	17
68.51	13
73.83	14

Crystal structure
```
KSnS2
1.0
4.0281 0.0000 0.0000
-2.0140 3.4884 0.0000
0.0000 0.0000 22.4145
K Sn S
3 3 6
Cartesian
0.0000 0.0000 0.0000
0.0000 2.3256 14.9430
2.0140 1.1628 7.4715
0.0000 0.0000 11.2072
0.0000 2.3256 3.7358
2.0140 1.1628 18.6787
0.0000 0.0000 5.2440
0.0000 0.0000 17.1705
0.0000 2.3256 9.6990
0.0000 2.3256 20.1869
2.0140 1.1628 2.2275
2.0140 1.1628 12.7154
```

***

This entry pairs a crystal structure of Mg7Ti with its theoretical X-ray powder pattern. Radiation: Cu Kα X-rays. Structure: a GGA-PBE-relaxed structure.

Largest 12 diffraction maxima, by angle, 10° ≤ 2θ ≤ 90°:
Position (°2θ)	I/Imax
16.09	7
23.91	3
32.51	25
35.58	25
37.19	100
48.96	15
57.99	17
64.96	18
69.92	18
70.93	13
79.24	3
84.46	3

Crystal structure
```
Mg7Ti
1.0
6.3611 0.0000 0.0000
-3.1806 5.5089 0.0000
0.0000 0.0000 5.0464
Mg Ti
7 1
Cartesian
0.0000 0.0000 0.0000
0.0000 1.8513 2.5232
-1.5773 4.5832 2.5232
3.1806 0.0460 0.0000
1.6301 2.7314 0.0000
1.5773 4.5832 2.5232
4.7310 2.7314 0.0000
3.1806 1.8363 2.5232
```

***

This entry pairs a crystal structure of InBr2 with its theoretical X-ray powder pattern. Radiation: Cu Kα X-rays. Structure: a GGA-PBE-relaxed structure.

Largest 12 diffraction maxima, by angle, 10° ≤ 2θ ≤ 90°:
Position (°2θ)	I/Imax
16.45	27
21.54	100
24.99	28
27.17	20
28.59	31
28.89	55
31.99	35
34.45	42
35.41	27
37.54	27
42.14	23
48.19	27

Crystal structure
```
InBr2
1.0
8.0691 0.0000 0.0000
0.0000 10.7008 0.0000
0.0000 0.0000 10.7792
In Br
8 16
Cartesian
1.4213 2.6752 2.6948
2.0173 0.0000 7.3462
2.0173 5.3504 8.8226
2.6133 8.0256 2.6948
5.4558 2.6752 8.0844
6.0518 0.0000 3.4330
6.0518 5.3504 1.9566
6.6479 8.0256 8.0844
0.0147 5.8261 3.4335
0.0147 10.2251 1.9561
1.2566 7.3317 10.2424
1.2566 8.7195 5.9264
2.7779 1.9813 5.9264
2.7779 3.3691 10.2424
4.0198 0.4757 1.9561
4.0198 4.8747 3.4335
4.0493 5.8261 7.3457
4.0493 10.2251 8.8231
5.2912 7.3317 0.5368
5.2912 8.7195 4.8528
6.8125 1.9813 4.8528
6.8125 3.3691 0.5368
8.0544 0.4757 8.8231
8.0544 4.8747 7.3457
```

***

This entry pairs a crystal structure of Nd3MnBi5 with its theoretical X-ray powder pattern. Radiation: Cu Kα X-rays. Structure: a GGA-PBE-relaxed structure.

Largest 12 diffraction maxima, by angle, 10° ≤ 2θ ≤ 90°:
Position (°2θ)	I/Imax
27.40	12
28.17	23
29.43	13
31.40	90
32.03	75
33.17	100
46.78	32
49.42	19
51.01	24
51.90	16
63.42	14
66.48	19

Crystal structure
```
Nd3MnBi5
1.0
9.6783 0.0000 0.0000
-4.8392 8.3817 0.0000
0.0000 0.0000 6.5111
Nd Mn Bi
6 2 10
Cartesian
-1.8353 3.1789 1.6278
-3.0039 5.2028 4.8834
3.6706 0.0000 1.6278
1.8353 3.1789 4.8834
6.0077 0.0000 4.8834
3.0039 5.2028 1.6278
0.0000 0.0000 0.0000
0.0000 0.0000 3.2556
-1.2324 2.1345 4.8834
-3.6068 6.2472 1.6278
2.4647 0.0000 4.8834
1.2324 2.1345 1.6278
0.0000 5.5878 0.0000
0.0000 5.5878 3.2556
4.8392 2.7939 0.0000
4.8392 2.7939 3.2556
7.2136 0.0000 1.6278
3.6068 6.2472 4.8834
```

***

- Number 1 is which compound?
  KBi3F10